Entry 1:
Structure and computed XRD peak list of LaCu2Si2 (a cell relaxed with GGA-PBE; Cu Kα (weighted mean of Kα1 and Kα2)).

The 6 most intense peaks (15° ≤ 2θ ≤ 90°), in order of rising 2θ:
d [Å]	two_theta	Rel. int.
3.827	23.24	34
2.589	34.64	43
2.525	35.55	100
2.073	43.67	40
1.618	56.90	20
1.268	74.91	21

Structure:
a = 4.146 Å, b = 4.146 Å, c = 9.947 Å
α = 90.00°, β = 90.00°, γ = 90.00°
Atoms (fractional coordinates):
1 La 0.000 0.000 0.000
2 La 0.500 0.500 0.500
3 Cu 0.000 0.500 0.250
4 Cu 0.000 0.500 0.750
5 Cu 0.500 0.000 0.250
6 Cu 0.500 0.000 0.750
7 Si 0.000 0.000 0.378
8 Si 0.000 0.000 0.622
9 Si 0.500 0.500 0.122
10 Si 0.500 0.500 0.878



Entry 2:
Structure and computed XRD peak list of Ce3S4 (a cell relaxed with GGA-PBE; Cu Kα (weighted mean of Kα1 and Kα2)).

The 6 most intense peaks (15° ≤ 2θ ≤ 90°), in order of rising 2θ:
d [Å]	two_theta	Rel. int.
3.485	25.56	100
2.700	33.18	97
2.282	39.50	60
1.909	47.64	40
1.674	54.83	30
1.385	67.65	37

Structure:
a = 7.393 Å, b = 7.393 Å, c = 7.393 Å
α = 109.47°, β = 109.47°, γ = 109.47°
Atoms (fractional coordinates):
1 Ce 0.125 0.875 0.250
2 Ce 0.250 0.125 0.875
3 Ce 0.375 0.625 0.750
4 Ce 0.625 0.750 0.375
5 Ce 0.750 0.375 0.625
6 Ce 0.875 0.250 0.125
7 S 0.000 0.151 0.500
8 S 0.000 0.651 0.500
9 S 0.151 0.500 0.000
10 S 0.349 0.349 0.349
11 S 0.500 0.000 0.151
12 S 0.500 0.000 0.651
13 S 0.651 0.500 0.000
14 S 0.849 0.849 0.849



Entry 3:
Structure and computed XRD peak list of NdCoSb2 (a cell relaxed with GGA-PBE; Cu Kα (weighted mean of Kα1 and Kα2)).

The 6 most intense peaks (15° ≤ 2θ ≤ 90°), in order of rising 2θ:
d [Å]	two_theta	Rel. int.
3.282	27.17	22
2.961	30.18	18
2.628	34.12	100
2.195	41.12	37
1.685	54.44	15
1.336	70.46	20

Structure:
a = 4.390 Å, b = 4.390 Å, c = 9.860 Å
α = 90.00°, β = 90.00°, γ = 90.00°
Atoms (fractional coordinates):
1 Nd 0.250 0.250 0.244
2 Nd 0.750 0.750 0.756
3 Co 0.250 0.750 0.000
4 Co 0.750 0.250 0.000
5 Sb 0.250 0.250 0.866
6 Sb 0.250 0.750 0.500
7 Sb 0.750 0.250 0.500
8 Sb 0.750 0.750 0.134